Simulated powder diffractogram
Compound: Li5FeO4
Radiation: CuKα
Structure: a PBE+U-relaxed structure
Intensities are scaled so that the largest is 100.

Atomic structure:
Unit cell a=5.5683 b=6.7678 c=11.3372 alpha=90.00 beta=107.84 gamma=90.00
Space group P2_1/c (No. 14)
Unique sites:
Li: 0.1048 0.0367 0.1951
Li: 0.3215 0.7487 0.3325
Li: 0.3650 0.5355 0.0751
Li: 0.3674 0.5228 0.5600
Li: 0.3783 0.2029 0.7816
Fe: 0.1116 0.2423 0.4351
O: 0.2435 0.7264 0.6435
O: 0.2531 0.0220 0.8833
O: 0.2704 0.0360 0.3747
O: 0.2740 0.2447 0.1099

Largest 12 diffraction maxima, in order of rising 2θ, 2θ from 10° to 90°:
5.396 Å, I = 37, hkl 0 0 2; 5.301 Å, I = 25, hkl 1 0 0; 4.219 Å, I = 68, hkl 0 1 2; 4.173 Å, I = 54, hkl 1 1 0; 3.770 Å, I = 100, hkl 1 1 -2; 3.384 Å, I = 27, hkl 0 2 0; 3.308 Å, I = 23, hkl 1 0 2; 2.713 Å, I = 40, hkl 1 2 -2; 2.698 Å, I = 21, hkl 0 0 4; 2.020 Å, I = 23, hkl 1 3 -2; 1.649 Å, I = 29, hkl 1 2 -6; 1.627 Å, I = 29, hkl 3 2 -2